Starting from the PBE geometry in Alexandria, the powder XRD pattern of LaCo2SiH was simulated for Cu Kα, 1.54184 Å.
No peak broadening, texture or thermal motion is included.

Crystal structure
Unit cell a=3.812 b=10.727 c=6.649 alpha=90.00 beta=90.00 gamma=90.00
Space group Cmcm (No. 63)
Inequivalent atoms, fractional coordinates:
La: 0.000 0.067 0.250
Co: 0.000 0.333 0.058
Si: 0.000 0.215 0.750
H: 0.000 0.500 0.000

Most intense lines, 5° ≤ 2θ ≤ 70°, sorted by position:
2theta, Rel. int., hkl
28.24, 27, 1 1 1
31.67, 29, 0 2 2
34.39, 41, 1 3 0
36.12, 64, 0 4 1
36.84, 100, 1 1 2
37.03, 71, 1 3 1
44.20, 40, 0 2 3
47.72, 31, 2 0 0
54.32, 24, 1 3 3
61.28, 27, 2 4 1


Starting from the PBE geometry in Alexandria, the powder XRD pattern of SmAgSn2 was simulated for Cu Kα, 1.54184 Å.
No peak broadening, texture or thermal motion is included.

Crystal structure
Unit cell a=4.676 b=4.676 c=4.479 alpha=90.00 beta=90.00 gamma=90.00
Space group P4/mmm (No. 123)
Inequivalent atoms, fractional coordinates:
Sm: 0.000 0.000 0.000
Ag: 0.500 0.500 0.000
Sn: 0.000 0.500 0.500

Most intense lines, 5° ≤ 2θ ≤ 70°, sorted by position:
2theta, Rel. int., hkl
18.98, 1, 1 0 0
27.58, 1, 1 0 1
33.69, 100, 1 1 1
38.51, 35, 2 0 0
40.27, 15, 0 0 2
55.60, 12, 2 2 0
56.94, 22, 2 0 2
66.61, 28, 3 1 1
69.02, 13, 1 1 3